Record 1
Starting from a GGA-PBE-relaxed structure, the XRD peak list of NaPrNi was simulated for Cu Kα X-rays.

Atomic structure:
Unit cell a=3.858 b=21.639 c=4.002 alpha=90.00 beta=90.00 gamma=90.00
Atoms (fractional coordinates):
Na1 0.000 0.196 0.250
Na2 0.000 0.804 0.750
Na3 0.500 0.304 0.750
Na4 0.500 0.696 0.250
Pr1 0.000 0.426 0.250
Pr2 0.000 0.574 0.750
Pr3 0.500 0.074 0.750
Pr4 0.500 0.926 0.250
Ni1 0.000 0.033 0.250
Ni2 0.000 0.967 0.750
Ni3 0.500 0.467 0.750
Ni4 0.500 0.533 0.250

Main lines, by angle (2θ = 10–90°):
- 23.7 deg, 3.754 Å, I = 25.2
- 24.7 deg, 3.607 Å, I = 22.3
- 27.7 deg, 3.218 Å, I = 41.2
- 31.1 deg, 2.880 Å, I = 60.0
- 32.5 deg, 2.755 Å, I = 44.0
- 33.1 deg, 2.705 Å, I = 21.9
- 34.6 deg, 2.592 Å, I = 100.0
- 37.3 deg, 2.412 Å, I = 26.4
- 38.5 deg, 2.338 Å, I = 66.6
- 45.3 deg, 2.001 Å, I = 23.0
- 47.8 deg, 1.904 Å, I = 27.5
- 55.9 deg, 1.644 Å, I = 32.0

Record 2
Starting from a GGA-PBE-relaxed structure, the XRD peak list of Na3NiRh was simulated for Cu Kα X-rays.

Atomic structure:
Unit cell a=5.314 b=5.314 c=5.314 alpha=90.00 beta=90.00 gamma=90.00
Atoms (fractional coordinates):
Na1 0.000 0.000 0.500
Na2 0.000 0.500 0.000
Na3 0.500 0.000 0.000
Ni1 0.500 0.500 0.500
Rh1 0.000 0.000 0.000

Main lines, by angle (2θ = 10–90°):
- 16.7 deg, 5.314 Å, I = 22.8
- 23.7 deg, 3.757 Å, I = 100.0
- 33.7 deg, 2.657 Å, I = 55.4
- 37.9 deg, 2.376 Å, I = 11.3
- 41.6 deg, 2.169 Å, I = 43.9
- 48.5 deg, 1.879 Å, I = 38.3
- 51.6 deg, 1.771 Å, I = 5.8
- 54.6 deg, 1.680 Å, I = 19.4
- 60.3 deg, 1.534 Å, I = 12.7
- 65.8 deg, 1.420 Å, I = 21.7
- 76.0 deg, 1.252 Å, I = 10.6
- 80.9 deg, 1.188 Å, I = 15.1

Record 3
Starting from a GGA-PBE-relaxed structure, the XRD peak list of NaNiSb2 was simulated for Cu Kα X-rays.

Atomic structure:
Unit cell a=4.036 b=4.036 c=20.732 alpha=90.00 beta=90.00 gamma=120.00
Atoms (fractional coordinates):
Na1 0.000 0.000 0.000
Na2 0.333 0.667 0.667
Na3 0.667 0.333 0.333
Ni1 0.000 0.000 0.165
Ni2 0.333 0.667 0.832
Ni3 0.667 0.333 0.499
Sb1 0.000 0.000 0.554
Sb2 0.000 0.000 0.778
Sb3 0.333 0.667 0.220
Sb4 0.333 0.667 0.444
Sb5 0.667 0.333 0.111
Sb6 0.667 0.333 0.887

Main lines, by angle (2θ = 10–90°):
- 12.8 deg, 6.911 Å, I = 100.0
- 25.8 deg, 3.447 Å, I = 25.1
- 26.9 deg, 3.312 Å, I = 17.4
- 30.9 deg, 2.898 Å, I = 42.4
- 33.5 deg, 2.672 Å, I = 98.5
- 43.5 deg, 2.082 Å, I = 31.9
- 44.9 deg, 2.018 Å, I = 51.6
- 46.9 deg, 1.937 Å, I = 22.7
- 57.2 deg, 1.610 Å, I = 20.4
- 64.2 deg, 1.450 Å, I = 24.9
- 75.5 deg, 1.259 Å, I = 17.5
- 81.8 deg, 1.177 Å, I = 17.3

Record 4
Starting from a GGA-PBE-relaxed structure, the XRD peak list of Na3Ni4Sb4 was simulated for Cu Kα X-rays.

Atomic structure:
Unit cell a=6.693 b=6.693 c=6.693 alpha=109.47 beta=109.47 gamma=109.47
Atoms (fractional coordinates):
Na1 0.000 0.500 0.500
Na2 0.500 0.000 0.500
Na3 0.500 0.500 0.000
Ni1 0.000 0.000 0.749
Ni2 0.000 0.749 0.000
Ni3 0.251 0.251 0.251
Ni4 0.749 0.000 0.000
Sb1 0.000 0.000 0.384
Sb2 0.000 0.384 0.000
Sb3 0.384 0.000 0.000
Sb4 0.616 0.616 0.616

Main lines, by angle (2θ = 10–90°):
- 16.2 deg, 5.465 Å, I = 84.5
- 23.0 deg, 3.864 Å, I = 54.8
- 28.3 deg, 3.155 Å, I = 42.7
- 32.8 deg, 2.733 Å, I = 63.2
- 36.8 deg, 2.444 Å, I = 74.1
- 43.8 deg, 2.066 Å, I = 75.6
- 50.1 deg, 1.822 Å, I = 100.0
- 55.8 deg, 1.648 Å, I = 22.5
- 61.1 deg, 1.516 Å, I = 17.6
- 75.9 deg, 1.254 Å, I = 40.1
- 82.8 deg, 1.165 Å, I = 16.2
- 89.7 deg, 1.093 Å, I = 14.2

Record 5
Starting from a GGA-PBE-relaxed structure, the XRD peak list of NaNi2Se3 was simulated for Cu Kα X-rays.

Atomic structure:
Unit cell a=7.068 b=7.068 c=5.906 alpha=90.00 beta=90.00 gamma=120.00
Atoms (fractional coordinates):
Na1 0.333 0.667 0.384
Na2 0.667 0.333 0.616
Ni1 0.000 0.000 0.000
Ni2 0.000 0.500 0.000
Ni3 0.500 0.000 0.000
Ni4 0.500 0.500 0.000
Se1 0.172 0.344 0.802
Se2 0.172 0.828 0.802
Se3 0.344 0.172 0.198
Se4 0.656 0.828 0.802
Se5 0.828 0.172 0.198
Se6 0.828 0.656 0.198

Main lines, by angle (2θ = 10–90°):
- 15.0 deg, 5.906 Å, I = 76.1
- 20.9 deg, 4.250 Å, I = 20.9
- 33.0 deg, 2.717 Å, I = 100.0
- 33.7 deg, 2.659 Å, I = 8.7
- 42.5 deg, 2.125 Å, I = 54.5
- 51.7 deg, 1.767 Å, I = 37.7
- 54.2 deg, 1.693 Å, I = 15.0
- 55.5 deg, 1.656 Å, I = 23.4
- 62.7 deg, 1.481 Å, I = 14.4
- 69.1 deg, 1.359 Å, I = 12.0
- 70.9 deg, 1.330 Å, I = 10.0
- 85.5 deg, 1.135 Å, I = 11.8

Record 6
Starting from a GGA-PBE-relaxed structure, the XRD peak list of NaNi2Se2 was simulated for Cu Kα X-rays.

Atomic structure:
Unit cell a=6.158 b=6.158 c=6.114 alpha=106.60 beta=106.60 gamma=107.26
Atoms (fractional coordinates):
Na1 0.131 0.869 0.750
Na2 0.869 0.131 0.250
Ni1 0.220 0.492 0.015
Ni2 0.492 0.220 0.515
Ni3 0.508 0.780 0.485
Ni4 0.780 0.508 0.985
Se1 0.167 0.833 0.250
Se2 0.439 0.561 0.750
Se3 0.561 0.439 0.250
Se4 0.833 0.167 0.750

Main lines, by angle (2θ = 10–90°):
- 16.5 deg, 5.377 Å, I = 56.4
- 18.0 deg, 4.919 Å, I = 100.0
- 24.5 deg, 3.639 Å, I = 33.4
- 27.9 deg, 3.200 Å, I = 44.9
- 31.6 deg, 2.833 Å, I = 64.5
- 36.2 deg, 2.479 Å, I = 27.0
- 38.1 deg, 2.364 Å, I = 26.6
- 40.2 deg, 2.241 Å, I = 37.8
- 43.3 deg, 2.088 Å, I = 53.5
- 48.4 deg, 1.879 Å, I = 29.7
- 48.6 deg, 1.872 Å, I = 32.5
- 51.0 deg, 1.792 Å, I = 55.9

Record 7
Starting from a GGA-PBE-relaxed structure, the XRD peak list of NaNi5Se8 was simulated for Cu Kα X-rays.

Atomic structure:
Unit cell a=9.467 b=9.467 c=8.109 alpha=105.30 beta=105.30 gamma=21.99
Atoms (fractional coordinates):
Na1 0.000 0.000 0.000
Ni1 0.159 0.159 0.482
Ni2 0.204 0.204 0.823
Ni3 0.501 0.501 0.500
Ni4 0.798 0.798 0.177
Ni5 0.842 0.842 0.518
Se1 0.069 0.069 0.669
Se2 0.263 0.263 0.349
Se3 0.328 0.328 0.010
Se4 0.416 0.416 0.676
Se5 0.586 0.586 0.324
Se6 0.673 0.673 0.990
Se7 0.738 0.738 0.651
Se8 0.932 0.932 0.331

Main lines, by angle (2θ = 10–90°):
- 11.3 deg, 7.810 Å, I = 63.5
- 12.9 deg, 6.870 Å, I = 40.7
- 32.5 deg, 2.755 Å, I = 50.7
- 32.6 deg, 2.745 Å, I = 100.0
- 34.4 deg, 2.605 Å, I = 64.6
- 35.0 deg, 2.567 Å, I = 27.4
- 39.3 deg, 2.290 Å, I = 19.3
- 39.6 deg, 2.274 Å, I = 31.2
- 42.2 deg, 2.143 Å, I = 36.2
- 48.8 deg, 1.867 Å, I = 27.2
- 50.6 deg, 1.806 Å, I = 36.4
- 50.9 deg, 1.793 Å, I = 65.2

Record 8
Starting from a GGA-PBE-relaxed structure, the XRD peak list of NaNi2Sn7 was simulated for Cu Kα X-rays.

Atomic structure:
Unit cell a=8.008 b=8.008 c=4.676 alpha=90.00 beta=90.00 gamma=114.93
Atoms (fractional coordinates):
Na1 0.000 0.000 0.000
Ni1 0.318 0.682 0.500
Ni2 0.682 0.318 0.500
Sn1 0.057 0.339 0.500
Sn2 0.248 0.752 0.000
Sn3 0.339 0.057 0.500
Sn4 0.500 0.500 0.500
Sn5 0.661 0.943 0.500
Sn6 0.752 0.248 0.000
Sn7 0.943 0.661 0.500

Main lines, by angle (2θ = 10–90°):
- 13.1 deg, 6.752 Å, I = 70.0
- 19.0 deg, 4.676 Å, I = 87.0
- 28.2 deg, 3.168 Å, I = 48.2
- 31.2 deg, 2.868 Å, I = 50.5
- 31.9 deg, 2.808 Å, I = 35.9
- 32.7 deg, 2.737 Å, I = 76.9
- 33.7 deg, 2.657 Å, I = 100.0
- 37.4 deg, 2.408 Å, I = 60.6
- 38.5 deg, 2.338 Å, I = 67.2
- 42.0 deg, 2.151 Å, I = 46.4
- 44.7 deg, 2.028 Å, I = 45.9
- 52.1 deg, 1.755 Å, I = 59.9

Record 9
Starting from a GGA-PBE-relaxed structure, the XRD peak list of NaSr3Ni was simulated for Cu Kα X-rays.

Atomic structure:
Unit cell a=5.224 b=7.823 c=9.449 alpha=90.00 beta=90.00 gamma=90.00
Atoms (fractional coordinates):
Na1 0.250 0.250 0.211
Na2 0.750 0.750 0.789
Sr1 0.250 0.016 0.640
Sr2 0.250 0.484 0.640
Sr3 0.250 0.750 0.079
Sr4 0.750 0.250 0.921
Sr5 0.750 0.516 0.360
Sr6 0.750 0.984 0.360
Ni1 0.250 0.750 0.393
Ni2 0.750 0.250 0.607

Main lines, by angle (2θ = 10–90°):
- 14.7 deg, 6.026 Å, I = 25.1
- 20.4 deg, 4.344 Å, I = 28.4
- 24.6 deg, 3.614 Å, I = 29.1
- 25.4 deg, 3.504 Å, I = 50.3
- 27.9 deg, 3.198 Å, I = 16.5
- 28.3 deg, 3.150 Å, I = 15.4
- 30.1 deg, 2.972 Å, I = 100.0
- 30.6 deg, 2.922 Å, I = 25.0
- 34.3 deg, 2.611 Å, I = 65.0
- 40.6 deg, 2.221 Å, I = 33.8
- 46.4 deg, 1.956 Å, I = 14.8
- 46.6 deg, 1.947 Å, I = 15.0

Record 10
Starting from a GGA-PBE-relaxed structure, the XRD peak list of NaSr3Ni was simulated for Cu Kα X-rays.

Atomic structure:
Unit cell a=4.221 b=9.661 c=10.234 alpha=87.89 beta=89.97 gamma=77.45
Atoms (fractional coordinates):
Na1 0.000 0.000 0.000
Na2 0.222 0.555 0.864
Sr1 0.224 0.551 0.481
Sr2 0.350 0.301 0.173
Sr3 0.567 0.864 0.709
Sr4 0.655 0.691 0.155
Sr5 0.871 0.255 0.691
Sr6 0.996 0.006 0.383
Ni1 0.382 0.234 0.466
Ni2 0.837 0.325 0.397

Main lines, by angle (2θ = 10–90°):
- 12.5 deg, 7.063 Å, I = 64.4
- 25.4 deg, 3.503 Å, I = 41.4
- 26.2 deg, 3.404 Å, I = 100.0
- 26.7 deg, 3.336 Å, I = 85.4
- 27.1 deg, 3.293 Å, I = 75.8
- 27.7 deg, 3.220 Å, I = 88.5
- 28.4 deg, 3.141 Å, I = 39.1
- 29.4 deg, 3.035 Å, I = 58.7
- 31.8 deg, 2.812 Å, I = 47.2
- 34.0 deg, 2.637 Å, I = 36.7
- 34.3 deg, 2.616 Å, I = 48.5
- 42.9 deg, 2.110 Å, I = 51.0

Record 11
Starting from a GGA-PBE-relaxed structure, the XRD peak list of Na2Sr6Ni was simulated for Cu Kα X-rays.

Atomic structure:
Unit cell a=8.375 b=8.375 c=8.377 alpha=120.01 beta=120.01 gamma=60.01
Atoms (fractional coordinates):
Na1 0.250 0.250 0.250
Na2 0.750 0.750 0.750
Sr1 0.245 0.754 0.254
Sr2 0.246 0.246 0.745
Sr3 0.246 0.755 0.746
Sr4 0.754 0.245 0.254
Sr5 0.754 0.754 0.255
Sr6 0.755 0.246 0.746
Ni1 0.000 0.000 0.500

Main lines, by angle (2θ = 10–90°):
- 12.9 deg, 6.839 Å, I = 12.6
- 15.0 deg, 5.923 Å, I = 39.5
- 26.1 deg, 3.419 Å, I = 100.0
- 30.2 deg, 2.961 Å, I = 81.2
- 33.8 deg, 2.649 Å, I = 21.3
- 43.2 deg, 2.094 Å, I = 59.5
- 51.2 deg, 1.786 Å, I = 45.6
- 53.6 deg, 1.710 Å, I = 20.6
- 69.1 deg, 1.359 Å, I = 18.3
- 71.2 deg, 1.324 Å, I = 25.9
- 79.2 deg, 1.209 Å, I = 19.2
- 85.1 deg, 1.140 Å, I = 14.0

Record 12
Starting from a GGA-PBE-relaxed structure, the XRD peak list of NaSr3Ni was simulated for Cu Kα X-rays.

Atomic structure:
Unit cell a=4.197 b=6.716 c=14.720 alpha=85.19 beta=81.87 gamma=89.98
Atoms (fractional coordinates):
Na1 0.000 0.000 0.000
Na2 0.464 0.472 0.076
Sr1 0.083 0.537 0.837
Sr2 0.213 0.389 0.574
Sr3 0.384 0.937 0.232
Sr4 0.621 0.035 0.761
Sr5 0.751 0.885 0.497
Sr6 0.844 0.422 0.313
Ni1 0.172 0.789 0.658
Ni2 0.661 0.630 0.680

Main lines, by angle (2θ = 10–90°):
- 12.2 deg, 7.260 Å, I = 54.7
- 26.2 deg, 3.402 Å, I = 36.2
- 26.6 deg, 3.346 Å, I = 34.3
- 26.8 deg, 3.322 Å, I = 35.1
- 27.1 deg, 3.290 Å, I = 69.7
- 28.8 deg, 3.095 Å, I = 100.0
- 29.0 deg, 3.083 Å, I = 71.4
- 35.1 deg, 2.558 Å, I = 29.7
- 36.2 deg, 2.485 Å, I = 28.1
- 36.7 deg, 2.447 Å, I = 44.3
- 43.1 deg, 2.099 Å, I = 44.0
- 47.8 deg, 1.903 Å, I = 47.0